Entry 1:
Theoretical PXRD pattern
Compound: Y3Si3Ni2
Radiation: Cu Kα
Structure: a GGA-PBE-relaxed structure
Intensities are scaled so that the largest is 100.

Main lines, low angle first (2θ from 10° to 90°):
2theta	I (rel.)	hkl
34.8	100.0	1 1 4
38.9	15.2	0 0 6
39.5	23.1	1 3 3
40.5	16.6	0 4 3
43.2	18.4	1 3 4
43.6	24.2	2 0 0

Structure:
```
data_Y3Si3Ni2
_space_group_name_H-M_alt 'C m c m'
_space_group_IT_number 63
_space_group_name_Hall '-C 2c 2'
_cell_length_a 4.1477
_cell_length_b 10.1674
_cell_length_c 13.8833
_cell_angle_alpha 90.00
_cell_angle_beta 90.00
_cell_angle_gamma 90.00
loop_
_atom_site_label
_atom_site_fract_x
_atom_site_fract_y
_atom_site_fract_z
Y1 0.0000 0.0887 0.1098
Y2 0.0000 0.3710 0.2500
Si1 0.0000 0.3278 0.7500
Si2 0.0000 0.3801 0.0380
Ni1 0.0000 0.2031 0.5957
```

=====

Entry 2:
Theoretical PXRD pattern
Compound: YSi3Ni5
Radiation: Cu Kα
Structure: a GGA-PBE-relaxed structure
Intensities are scaled so that the largest is 100.

Main lines, low angle first (2θ from 10° to 90°):
2theta	I (rel.)	hkl
36.3	19.3	5 0 2
36.4	10.7	5 1 1
37.4	27.8	6 1 0
38.9	100.0	3 1 2
43.7	11.5	5 1 2
48.1	31.8	0 2 0

Structure:
```
data_YSi3Ni5
_space_group_name_H-M_alt 'P n m a'
_space_group_IT_number 62
_cell_length_a 18.6754
_cell_length_b 3.7847
_cell_length_c 6.6204
_cell_angle_alpha 90.00
_cell_angle_beta 90.00
_cell_angle_gamma 90.00
loop_
_space_group_symop_operation_xyz
'x,y,z'
'-x,-y,-z'
'-x+1/2,-y,z+1/2'
'x+1/2,y,-z+1/2'
'x+1/2,-y+1/2,-z+1/2'
'-x+1/2,y+1/2,z+1/2'
'-x,y+1/2,-z'
'x,-y+1/2,z'
loop_
_atom_site_label
_atom_site_fract_x
_atom_site_fract_y
_atom_site_fract_z
Y1 0.1440 0.2500 0.1223
Si1 0.0751 0.7500 0.8446
Si2 0.0853 0.7500 0.4160
Si3 0.2370 0.2500 0.6213
Ni1 0.0052 0.7500 0.1323
Ni2 0.0145 0.2500 0.3832
Ni3 0.1146 0.2500 0.6425
Ni4 0.2000 0.7500 0.8140
Ni5 0.2060 0.7500 0.4300
```

=====

Entry 3:
Theoretical PXRD pattern
Compound: Zr2Si4Ni3
Radiation: Cu Kα
Structure: a GGA-PBE-relaxed structure
Intensities are scaled so that the largest is 100.

Main lines, low angle first (2θ from 10° to 90°):
2theta	I (rel.)	hkl
29.0	30.8	0 2 2
36.9	50.6	1 3 2
39.2	100.0	1 5 1
41.4	45.4	0 2 3
43.6	72.1	2 0 2
78.5	22.9	2 10 0

Structure:
```
data_Zr2Si4Ni3
_space_group_name_H-M_alt 'C m c e'
_space_group_IT_number 64
_space_group_name_Hall '-C 2ac 2'
_cell_length_a 5.2060
_cell_length_b 13.7853
_cell_length_c 6.8907
_cell_angle_alpha 90.00
_cell_angle_beta 90.00
_cell_angle_gamma 90.00
loop_
_atom_site_label
_atom_site_fract_x
_atom_site_fract_y
_atom_site_fract_z
Zr1 0.0000 0.1043 0.0979
Si1 0.0000 0.1822 0.4772
Si2 0.2500 0.0613 0.7500
Ni1 0.0000 0.0000 0.5000
Ni2 0.2500 0.2274 0.7500
```

=====

Entry 4:
Theoretical PXRD pattern
Compound: Zr2SiNi2
Radiation: Cu Kα
Structure: a GGA-PBE-relaxed structure
Intensities are scaled so that the largest is 100.

Main lines, low angle first (2θ from 10° to 90°):
2theta	I (rel.)	hkl
26.0	92.5	1 0 1
32.9	42.3	1 0 3
38.5	95.6	1 1 2
43.8	71.1	1 0 5
46.0	100.0	1 1 4
51.3	59.0	2 0 0

Structure:
```
data_Zr2SiNi2
_space_group_name_H-M_alt 'I 4/m m m'
_space_group_IT_number 139
_space_group_name_Hall '-I 4 2'
_cell_length_a 3.5610
_cell_length_b 3.5610
_cell_length_c 12.6707
_cell_angle_alpha 90.00
_cell_angle_beta 90.00
_cell_angle_gamma 90.00
loop_
_atom_site_label
_atom_site_fract_x
_atom_site_fract_y
_atom_site_fract_z
Zr1 0.0000 0.0000 0.1066
Si1 0.0000 0.0000 0.5000
Ni1 0.0000 0.5000 0.2500
```

=====

Entry 5:
Theoretical PXRD pattern
Compound: Zr4Si4Ni
Radiation: Cu Kα
Structure: a GGA-PBE-relaxed structure
Intensities are scaled so that the largest is 100.

Main lines, low angle first (2θ from 10° to 90°):
2theta	I (rel.)	hkl
31.7	36.3	1 1 -2
32.2	29.4	2 0 -3
35.8	71.3	1 1 2
36.4	100.0	3 1 -1
43.6	38.8	4 0 1
48.6	30.1	0 2 0

Structure:
```
data_Zr4Si4Ni
_space_group_name_H-M_alt 'C 1 2/m 1'
_space_group_IT_number 12
_cell_length_a 9.8706
_cell_length_b 3.7494
_cell_length_c 8.6537
_cell_angle_alpha 90.00
_cell_angle_beta 108.84
_cell_angle_gamma 90.00
loop_
_space_group_symop_operation_xyz
'x,y,z'
'-x,-y,-z'
'-x,y,-z'
'x,-y,z'
'x+1/2,y+1/2,z'
'-x+1/2,-y+1/2,-z'
'-x+1/2,y+1/2,-z'
'x+1/2,-y+1/2,z'
loop_
_atom_site_label
_atom_site_fract_x
_atom_site_fract_y
_atom_site_fract_z
Zr1 0.1094 0.0000 0.3799
Zr2 0.2437 0.0000 0.8444
Si1 0.0336 0.5000 0.8572
Si2 0.1111 0.5000 0.6149
Ni1 0.0000 0.0000 0.0000
```

=====

Entry 6:
Theoretical PXRD pattern
Compound: Sm2Ni17
Radiation: Cu Kα
Structure: a GGA-PBE-relaxed structure
Intensities are scaled so that the largest is 100.

Main lines, low angle first (2θ from 10° to 90°):
2theta	I (rel.)	hkl
31.0	34.1	1 1 2
37.5	40.2	3 0 0
42.1	40.0	2 0 3
43.6	64.6	2 2 0
44.0	100.0	3 0 2
45.1	32.8	0 0 4

Structure:
```
data_Sm2Ni17
_space_group_name_H-M_alt 'P 63/m m c'
_space_group_IT_number 194
_space_group_name_Hall '-P 6c 2c'
_cell_length_a 8.3118
_cell_length_b 8.3118
_cell_length_c 8.0354
_cell_angle_alpha 90.00
_cell_angle_beta 90.00
_cell_angle_gamma 120.00
loop_
_atom_site_label
_atom_site_fract_x
_atom_site_fract_y
_atom_site_fract_z
Sm1 0.0000 0.0000 0.2500
Sm2 0.3333 0.6667 0.2500
Ni1 0.0000 0.5000 0.0000
Ni2 0.0452 0.3736 0.7500
Ni3 0.1661 0.3321 0.0203
Ni4 0.3333 0.6667 0.6025
```